For RbNbTeO6, the GGA-PBE geometry in the Materials Project gives the computed powder diffraction line list in this record (copper Kα).

Peak list (10 most intense, 2θ from 5° to 70°, by angle)
(0 1 1), 2θ = 14.6°, intensity 48.0
(1 0 1), 2θ = 14.8°, intensity 21.1
(0 1 3), 2θ = 28.3°, intensity 100.0
(1 0 3), 2θ = 28.4°, intensity 31.0
(2 1 1), 2θ = 28.5°, intensity 83.3
(0 2 2), 2θ = 29.5°, intensity 49.0
(2 0 2), 2θ = 29.8°, intensity 50.0
(3 0 3), 2θ = 45.4°, intensity 24.1
(2 2 4), 2θ = 49.4°, intensity 56.8
(2 4 2), 2θ = 58.4°, intensity 25.6

Crystal structure
Cell: 7.316 7.442 10.452 Å, 90.00 90.00 90.00°
Space group Imma (No. 74)
One atom of each set of equivalent atoms:
Rb 0.000 0.250 0.125 (multiplicity 4)
Nb 0.000 0.000 0.500 (multiplicity 4)
Te 0.250 0.250 0.750 (multiplicity 4)
O 0.000 0.250 0.437 (multiplicity 4)
O 0.000 0.250 0.822 (multiplicity 4)
O 0.196 0.063 0.628 (multiplicity 16)

For Nb4ReO4, the GGA-PBE geometry in the Materials Project gives the computed powder diffraction line list in this record (copper Kα).

Peak list (10 most intense, 2θ from 5° to 70°, by angle)
(0 1 -1), 2θ = 20.1°, intensity 48.6
(1 1 -2), 2θ = 32.6°, intensity 100.0
(0 2 0), 2θ = 33.8°, intensity 48.5
(1 1 3), 2θ = 34.7°, intensity 85.4
(0 2 1), 2θ = 34.9°, intensity 50.9
(-1 1 2), 2θ = 35.8°, intensity 68.4
(2 0 1), 2θ = 36.4°, intensity 99.5
(1 -1 3), 2θ = 40.3°, intensity 76.0
(2 2 1), 2θ = 43.4°, intensity 71.6
(3 1 4), 2θ = 63.8°, intensity 33.8

Crystal structure
Cell: 5.128 5.475 8.809 Å, 84.41 79.78 75.75°
Space group P-1 (No. 2)
One atom of each set of equivalent atoms:
Nb 0.076 0.241 0.374 (multiplicity 2)
Nb 0.156 0.677 0.207 (multiplicity 2)
Nb 0.214 0.197 0.042 (multiplicity 2)
Nb 0.390 0.364 0.640 (multiplicity 2)
Re 0.332 0.813 0.808 (multiplicity 2)
O 0.169 0.075 0.630 (multiplicity 2)
O 0.195 0.589 0.985 (multiplicity 2)
O 0.213 0.560 0.449 (multiplicity 2)
O 0.366 0.968 0.242 (multiplicity 2)

For NbRhO4, the GGA-PBE geometry in the Materials Project gives the computed powder diffraction line list in this record (copper Kα).

Peak list (10 most intense, 2θ from 5° to 70°, by angle)
(0 2 0), 2θ = 26.6°, intensity 67.6
(2 0 0), 2θ = 26.9°, intensity 65.3
(1 1 1), 2θ = 34.3°, intensity 100.0
(2 2 0), 2θ = 38.2°, intensity 26.3
(1 3 1), 2θ = 52.1°, intensity 43.6
(3 1 1), 2θ = 52.4°, intensity 42.3
(0 4 0), 2θ = 54.9°, intensity 10.8
(4 0 0), 2θ = 55.4°, intensity 10.6
(0 0 2), 2θ = 58.7°, intensity 10.5
(3 3 1), 2θ = 66.6°, intensity 26.1

Crystal structure
Cell: 6.629 6.694 3.146 Å, 90.00 90.00 90.00°
Space group Cmmm (No. 65)
One atom of each set of equivalent atoms:
Nb 0.000 0.000 0.000 (multiplicity 2)
Rh 0.000 0.500 0.500 (multiplicity 2)
O 0.000 0.194 0.500 (multiplicity 4)
O 0.197 0.500 0.000 (multiplicity 4)